This entry pairs a crystal structure of Zr3PI3 with its computed X-ray diffraction stick pattern. Radiation: Cu Kα (λ = 1.5418 Å). Structure: a PBE-relaxed structure.
Lines closer than 0.1° are merged.

Cell and atoms:
```
data_Zr3PI3
_cell_length_a 6.6637
_cell_length_b 6.6637
_cell_length_c 32.2156
_cell_angle_alpha 90.00
_cell_angle_beta 90.00
_cell_angle_gamma 120.00
_symmetry_space_group_name_H-M 'R -3'
_symmetry_Int_Tables_number 148
_symmetry_space_group_name_Hall '-R 3'
loop_
_atom_site_label
_atom_site_type_symbol
_atom_site_fract_x
_atom_site_fract_y
_atom_site_fract_z
_atom_site_occupancy
Zr1 Zr 0.0000 0.3214 0.0393 1
P1 P 0.0000 0.0000 0.3333 1
I1 I 0.0000 0.3383 0.8976 1
```

Main lines, sorted by position (2θ from 10° to 80°):
h k l	2theta	d (Å)	Rel. int.
0 0 6	16.51	5.369	18
1 1 0	26.76	3.332	29
2 -1 6	31.60	2.831	100
1 1 9	36.85	2.439	35
1 1 12	43.28	2.090	18
3 0 0	47.25	1.924	32
1 1 15	50.56	1.805	13
2 2 6	57.96	1.591	17
3 0 15	65.10	1.433	17
5 -1 6	77.92	1.226	14